The following is a simulated powder X-ray diffraction pattern of Li3VCrP2H2O10. It was derived from DFT lattice parameters and positions (PBE+U), using Cu Kα.

Crystal structure
```
Li3VCrP2H2O10
1.0
5.214 0.000 0.000
0.505 6.035 0.000
0.977 1.320 7.289
Li V Cr P H O
3 1 1 2 2 10
Cartesian
0.000 0.000 0.000 Li
0.662 3.017 1.129 Li
4.228 5.508 6.557 Li
3.341 4.069 2.705 V
5.226 2.610 4.843 Cr
2.514 1.004 4.226 P
2.770 1.594 0.709 P
1.711 0.829 3.087 H
3.558 1.168 1.778 H
1.515 4.313 3.281 O
1.607 1.402 5.399 O
1.363 1.033 0.760 O
2.632 3.142 0.914 O
3.780 5.721 4.477 O
3.441 2.238 3.889 O
4.597 2.581 6.759 O
4.336 5.064 1.422 O
4.879 4.363 0.225 O
5.657 3.313 3.033 O
```

Largest 10 diffraction maxima, low angle first, 2θ = 10–80°:
2θ = 12.14°, I = 55, (0 0 1); 2θ = 14.92°, I = 60, (0 1 0); 2θ = 17.19°, I = 63, (1 0 0); 2θ = 17.50°, I = 100, (0 1 1); 2θ = 20.91°, I = 49, (0 1 -1); 2θ = 22.90°, I = 56, (1 1 1); 2θ = 24.42°, I = 39, (0 0 2); 2θ = 26.29°, I = 73, (0 1 2); 2θ = 26.85°, I = 69, (1 -1 1); 2θ = 35.79°, I = 43, (1 -2 0)